MgH5Ir4: calculated powder XRD pattern (copper Kα), based on a crystal structure in Alexandria, relaxed with GGA-PBE.
Intensities are scaled so that the largest is 100.

Most intense lines, 2θ = 15–90°, by angle:
h k l, 2theta, I (rel.)
0 0 1, 18.74, 100
0 1 0, 21.62, 37
1 0 0, 21.89, 28
1 2 1, 36.87, 29
2 1 1, 37.63, 54
0 0 2, 38.01, 84
1 2 0, 40.65, 54
2 1 0, 41.13, 39
-1 1 1, 41.31, 62
1 -1 1, 41.77, 56
1 2 2, 42.66, 54
2 1 2, 43.56, 33

Atomic structure:
```
data_MgH5Ir4
_chemical_formula_sum 'Mg1 H5 Ir4'
_cell_length_a 4.7915
_cell_length_b 4.8855
_cell_length_c 5.3283
_cell_angle_alpha 66.26
_cell_angle_beta 67.16
_cell_angle_gamma 60.78
_symmetry_space_group_name_H-M 'P 1'
_symmetry_Int_Tables_number 1
loop_
_symmetry_equiv_pos_as_xyz
'x,y,z'
loop_
_atom_site_label
_atom_site_type_symbol
_atom_site_fract_x
_atom_site_fract_y
_atom_site_fract_z
Mg1 Mg 0.0000 0.0000 0.0000
H1 H 0.2153 0.1434 0.3899
H2 H 0.4155 0.6276 0.8154
H3 H 0.5106 0.0643 0.8757
H4 H 0.5334 0.3081 0.1552
H5 H 0.9894 0.5217 0.1409
Ir1 Ir 0.1852 0.7572 0.5383
Ir2 Ir 0.5525 0.1413 0.5062
Ir3 Ir 0.6409 0.6456 0.0029
Ir4 Ir 0.8384 0.5065 0.4909
```